(1)
Computed powder diffractogram
Compound: Sm2Er2Tm2In
Radiation: Cu Kα (λ = 1.5418 Å)
Structure: a GGA-PBE-relaxed structure
No peak broadening, texture or thermal motion is included.

Structure:
```
data_Sm2Er2Tm2In
_cell_length_a 11.6471
_cell_length_b 3.4932
_cell_length_c 11.5098
_cell_angle_alpha 90.00
_cell_angle_beta 112.53
_cell_angle_gamma 90.00
_symmetry_space_group_name_H-M 'C 1 2/m 1'
_symmetry_Int_Tables_number 12
_symmetry_space_group_name_Hall '-C 2y'
loop_
_atom_site_label
_atom_site_type_symbol
_atom_site_fract_x
_atom_site_fract_y
_atom_site_fract_z
Sm1 Sm 0.0315 0.0000 0.2563
Er1 Er 0.1753 0.0000 0.5851
Tm1 Tm 0.2505 0.0000 0.1326
In1 In 0.0000 0.5000 0.0000
```

Largest 10 diffraction maxima, by angle, 10 to 80 degrees two-theta:
hkl 1 1 0, 2θ = 26.83°, intensity 18.7
hkl 1 1 1, 2θ = 29.09°, intensity 24.9
hkl 4 0 -1, 2θ = 31.01°, intensity 51.9
hkl 2 0 -4, 2θ = 31.31°, intensity 68.0
hkl 1 1 2, 2θ = 33.45°, intensity 85.8
hkl 3 1 -2, 2θ = 35.31°, intensity 100.0
hkl 0 2 0, 2θ = 52.38°, intensity 16.5
hkl 5 1 1, 2θ = 53.45°, intensity 23.7
hkl 1 1 -6, 2θ = 55.84°, intensity 19.1
hkl 2 2 -4, 2θ = 62.31°, intensity 19.7

=====

(2)
Computed powder diffractogram
Compound: SmEr2TmIn4
Radiation: Cu Kα (λ = 1.5418 Å)
Structure: a GGA-PBE-relaxed structure
No peak broadening, texture or thermal motion is included.

Structure:
```
data_SmEr2TmIn4
_cell_length_a 5.3038
_cell_length_b 5.3038
_cell_length_c 26.0899
_cell_angle_alpha 90.00
_cell_angle_beta 90.00
_cell_angle_gamma 120.00
_symmetry_space_group_name_H-M 'R -3 m'
_symmetry_Int_Tables_number 166
_symmetry_space_group_name_Hall '-R 3 2"'
loop_
_atom_site_label
_atom_site_type_symbol
_atom_site_fract_x
_atom_site_fract_y
_atom_site_fract_z
Sm1 Sm 0.0000 0.0000 0.0000
Er1 Er 0.0000 0.0000 0.2494
Tm1 Tm 0.0000 0.0000 0.5000
In1 In 0.0000 0.0000 0.1263
In2 In 0.0000 0.0000 0.3764
```

Largest 10 diffraction maxima, by angle, 10 to 80 degrees two-theta:
hkl 1 0 4, 2θ = 23.69°, intensity 3.1
hkl 1 1 0, 2θ = 33.75°, intensity 100.0
hkl 0 2 4, 2θ = 41.69°, intensity 0.8
hkl 2 0 8, 2θ = 48.48°, intensity 17.9
hkl 1 1 12, 2θ = 54.58°, intensity 0.8
hkl 2 1 4, 2θ = 54.71°, intensity 0.7
hkl 1 0 16, 2θ = 60.22°, intensity 9.2
hkl 3 0 0, 2θ = 60.43°, intensity 27.6
hkl 0 2 16, 2θ = 70.88°, intensity 5.7
hkl 2 2 0, 2θ = 71.10°, intensity 5.7

=====

(3)
Computed powder diffractogram
Compound: SmYErIn
Radiation: Cu Kα (λ = 1.5418 Å)
Structure: a GGA-PBE-relaxed structure
No peak broadening, texture or thermal motion is included.

Structure:
```
data_SmYErIn
_cell_length_a 4.8420
_cell_length_b 4.8623
_cell_length_c 4.9033
_cell_angle_alpha 90.00
_cell_angle_beta 90.00
_cell_angle_gamma 90.00
_symmetry_space_group_name_H-M 'P m m m'
_symmetry_Int_Tables_number 47
_symmetry_space_group_name_Hall '-P 2 2'
loop_
_atom_site_label
_atom_site_type_symbol
_atom_site_fract_x
_atom_site_fract_y
_atom_site_fract_z
Sm1 Sm 0.0000 0.0000 0.0000
Y1 Y 0.5000 0.0000 0.5000
Er1 Er 0.5000 0.5000 0.0000
In1 In 0.0000 0.5000 0.5000
```

Largest 10 diffraction maxima, by angle, 10 to 80 degrees two-theta:
hkl 1 1 1, 2θ = 31.83°, intensity 100.0
hkl 0 0 2, 2θ = 36.66°, intensity 17.1
hkl 0 2 0, 2θ = 36.98°, intensity 16.7
hkl 2 0 0, 2θ = 37.14°, intensity 16.5
hkl 0 2 2, 2θ = 53.05°, intensity 11.7
hkl 2 0 2, 2θ = 53.17°, intensity 11.6
hkl 1 1 3, 2θ = 62.99°, intensity 13.8
hkl 1 3 1, 2θ = 63.43°, intensity 13.6
hkl 3 1 1, 2θ = 63.64°, intensity 13.4
hkl 2 2 2, 2θ = 66.53°, intensity 11.7

=====

(4)
Computed powder diffractogram
Compound: Er3InSn3
Radiation: Cu Kα (λ = 1.5418 Å)
Structure: a GGA-PBE-relaxed structure
No peak broadening, texture or thermal motion is included.

Structure:
```
data_Er3InSn3
_cell_length_a 8.7216
_cell_length_b 8.7216
_cell_length_c 5.6268
_cell_angle_alpha 90.00
_cell_angle_beta 90.00
_cell_angle_gamma 120.00
_symmetry_space_group_name_H-M 'P 63/m'
_symmetry_Int_Tables_number 176
_symmetry_space_group_name_Hall '-P 6c'
loop_
_atom_site_label
_atom_site_type_symbol
_atom_site_fract_x
_atom_site_fract_y
_atom_site_fract_z
Er1 Er 0.0916 0.6445 0.2500
In1 In 0.3333 0.6667 0.7500
Sn1 Sn 0.0530 0.7987 0.7500
```

Largest 10 diffraction maxima, by angle, 10 to 80 degrees two-theta:
hkl 1 2 0, 2θ = 31.33°, intensity 27.0
hkl 0 0 2, 2θ = 31.81°, intensity 31.8
hkl 1 2 1, 2θ = 35.25°, intensity 100.0
hkl 1 2 2, 2θ = 45.25°, intensity 19.8
hkl 4 1 0, 2θ = 55.77°, intensity 15.5
hkl 1 2 3, 2θ = 58.92°, intensity 23.2
hkl 4 1 2, 2θ = 65.65°, intensity 19.1
hkl 0 0 4, 2θ = 66.45°, intensity 5.4
hkl 2 4 1, 2θ = 67.72°, intensity 13.4
hkl 1 2 4, 2θ = 75.32°, intensity 4.5